Record 1
This entry pairs a crystal structure of RbHSeO4 with its computed X-ray powder pattern. Radiation: a wavelength of 1.5418 Å. Structure: a DFT-relaxed cell (GGA-PBE, Alexandria).
Kinematic intensities with the Lorentz-polarization factor, no thermal factor.

Structure:
```
data_RbHSeO4
_symmetry_space_group_name_H-M 'P 21 21 21'
_symmetry_Int_Tables_number 19
_cell_length_a 4.688
_cell_length_b 7.763
_cell_length_c 13.244
_cell_angle_alpha 90.00
_cell_angle_beta 90.00
_cell_angle_gamma 90.00
loop_
_symmetry_equiv_pos_as_xyz
'x,y,z'
'-x+1/2,-y,z+1/2'
'x+1/2,-y+1/2,-z'
'-x,y+1/2,-z+1/2'
loop_
_atom_site_label
_atom_site_type_symbol
_atom_site_fract_x
_atom_site_fract_y
_atom_site_fract_z
Rb1 Rb 0.186 0.045 0.379
H1 H 0.219 0.836 0.615
Se1 Se 0.232 0.465 0.873
O1 O 0.013 0.669 0.331
O2 O 0.030 0.827 0.575
O3 O 0.086 0.574 0.780
O4 O 0.162 0.414 0.469
```

Peak list (6 most intense, 10 to 80 degrees two-theta, in order of falling intensity)
(hkl), 2θ/deg, I_rel
1 0 2, 23.24, 100
1 2 2, 32.87, 62
0 2 0, 22.91, 37
0 0 4, 26.93, 29
1 2 6, 51.45, 22
0 2 4, 35.64, 17

=====

Record 2
This entry pairs a crystal structure of RbH3Se2O6 with its computed X-ray powder pattern. Radiation: a wavelength of 1.5418 Å. Structure: a DFT-relaxed cell (GGA-PBE, Alexandria).
Kinematic intensities with the Lorentz-polarization factor, no thermal factor.

Structure:
```
data_RbH3Se2O6
_symmetry_space_group_name_H-M 'P 21 21 21'
_symmetry_Int_Tables_number 19
_cell_length_a 6.060
_cell_length_b 6.510
_cell_length_c 18.229
_cell_angle_alpha 90.00
_cell_angle_beta 90.00
_cell_angle_gamma 90.00
loop_
_symmetry_equiv_pos_as_xyz
'x,y,z'
'-x+1/2,-y,z+1/2'
'x+1/2,-y+1/2,-z'
'-x,y+1/2,-z+1/2'
loop_
_atom_site_label
_atom_site_type_symbol
_atom_site_fract_x
_atom_site_fract_y
_atom_site_fract_z
Rb1 Rb 0.020 0.015 0.337
H1 H 0.026 0.251 0.718
H2 H 0.153 0.033 0.136
H3 H 0.230 0.709 0.513
Se1 Se 0.019 0.925 0.995
Se2 Se 0.039 0.452 0.853
O1 O 0.020 0.442 0.412
O2 O 0.059 0.718 0.829
O3 O 0.169 0.326 0.785
O4 O 0.211 0.570 0.540
O5 O 0.239 0.908 0.676
O6 O 0.240 0.076 0.977
```

Peak list (6 most intense, 10 to 80 degrees two-theta, in order of falling intensity)
(hkl), 2θ/deg, I_rel
1 1 3, 24.85, 100
0 0 6, 29.43, 31
0 2 0, 27.40, 16
0 2 6, 40.65, 14
1 1 9, 49.47, 10
3 1 3, 49.57, 9

=====

Q: What is the formula in the second record?
A: RbH3Se2O6